Diffraction record for Zr3Zn3Ru. The powder X-ray diffraction pattern is theoretical, not measured: it uses DFT lattice parameters and positions (GGA-PBE) and Cu Kα (λ = 1.5418 Å).
No peak broadening, texture or thermal motion is included.

Principal peaks in the range 2θ = 10–80°, low angle first:
| Position (°2θ) | I_rel |
| --- | --- |
| 22.73 | 11 |
| 23.75 | 8 |
| 33.84 | 24 |
| 35.96 | 50 |
| 39.27 | 100 |
| 46.41 | 18 |
| 54.30 | 15 |
| 56.75 | 8 |
| 60.54 | 13 |
| 71.19 | 14 |
| 75.83 | 9 |
| 76.25 | 11 |

Structural model:
a b c (Å): 9.176 9.176 9.176
angles (deg): 60.00 60.00 60.00
Sites, in units of the cell vectors:
Zr1 0.094 0.094 0.656
Zr2 0.094 0.656 0.094
Zr3 0.094 0.656 0.656
Zr4 0.344 0.344 0.906
Zr5 0.344 0.906 0.344
Zr6 0.344 0.906 0.906
Zr7 0.656 0.094 0.094
Zr8 0.656 0.094 0.656
Zr9 0.656 0.656 0.094
Zr10 0.906 0.344 0.344
Zr11 0.906 0.344 0.906
Zr12 0.906 0.906 0.344
Zn1 0.000 0.500 0.500
Zn2 0.290 0.290 0.290
Zn3 0.290 0.290 0.630
Zn4 0.290 0.630 0.290
Zn5 0.370 0.710 0.710
Zn6 0.500 0.000 0.500
Zn7 0.500 0.500 0.000
Zn8 0.500 0.500 0.500
Zn9 0.630 0.290 0.290
Zn10 0.710 0.370 0.710
Zn11 0.710 0.710 0.370
Zn12 0.710 0.710 0.710
Ru1 0.000 0.000 0.000
Ru2 0.000 0.000 0.500
Ru3 0.000 0.500 0.000
Ru4 0.500 0.000 0.000